CaLaTiCr2: simulated X-ray diffraction stick pattern (CuKα), based on DFT lattice parameters and positions (GGA-PBE).
Lines closer than 0.1° are merged.

Crystal structure
Cell: 4.7793 4.7793 5.3795 Å, 90.00 90.00 90.00°
Fractional coordinates of all 5 atoms:
1 Ca 0.0000 0.0000 0.0000
2 La 0.0000 0.0000 0.5000
3 Ti 0.5000 0.5000 0.0000
4 Cr 0.0000 0.5000 0.5000
5 Cr 0.5000 0.0000 0.5000

Peak list (8 most intense, 15° ≤ 2θ ≤ 90°, low angle first)
2θ = 16.48°, intensity 78, hkl 0 0 1
2θ = 18.57°, intensity 87, hkl 1 0 0
2θ = 24.92°, intensity 100, hkl 1 0 1
2θ = 33.31°, intensity 66, hkl 0 0 2
2θ = 37.64°, intensity 93, hkl 2 0 0
2θ = 45.67°, intensity 39, hkl 2 1 1
2θ = 51.13°, intensity 73, hkl 2 0 2
2θ = 65.20°, intensity 33, hkl 2 2 2